Starting from the PBE+U geometry in Alexandria, the X-ray diffraction stick pattern of KLi2FeO3 was calculated for Cu Kα (weighted mean of Kα1 and Kα2).
Intensities are scaled so that the largest is 100.

Top 10 peaks for 10° ≤ 2θ ≤ 90°, in order of rising 2θ:
d [Å]  2theta  Rel. int.
4.419  20.1  100
3.996  22.2  58
3.323  26.8  24
3.031  29.5  78
2.914  30.7  32
2.687  33.3  51
2.500  35.9  29
2.439  36.8  72
2.426  37.1  24
2.240  40.3  52

Atomic structure:
```
data_KLi2FeO3
_chemical_formula_sum 'K2 Li4 Fe2 O6'
_space_group_name_H-M_alt 'P 1 21/m 1'
_space_group_IT_number 11
_space_group_name_Hall '-P 2yb'
_cell_length_a 5.512
_cell_length_b 6.063
_cell_length_c 5.547
_cell_angle_alpha 90.00
_cell_angle_beta 106.12
_cell_angle_gamma 90.00
loop_
_atom_site_label
_atom_site_type_symbol
_atom_site_fract_x
_atom_site_fract_y
_atom_site_fract_z
_atom_site_occupancy
K1 K 0.238 0.250 0.115 1
Li1 Li 0.199 0.535 0.667 1
Fe1 Fe 0.330 0.750 0.306 1
O1 O 0.014 0.750 0.387 1
O2 O 0.282 0.750 0.961 1
O3 O 0.500 0.000 0.500 1
```